Starting from a DFT-relaxed cell (GGA-PBE, Alexandria), the X-ray diffraction stick pattern of SnBRuPt2 was simulated for Cu Kα.
Peak positions follow from Bragg's law for the DFT cell and can differ from measured ones.

The 10 most intense peaks (15 to 90 degrees two-theta), low angle first:
hkl 0 0 1, 21.54°, rel. 7; hkl 1 1 0, 29.42°, rel. 5; hkl 1 1 1, 36.75°, rel. 100; hkl 2 0 0, 42.08°, rel. 36; hkl 0 0 2, 43.89°, rel. 16; hkl 2 2 0, 61.03°, rel. 12; hkl 2 0 2, 62.43°, rel. 23; hkl 3 1 1, 73.41°, rel. 27; hkl 1 1 3, 75.96°, rel. 12; hkl 2 2 2, 78.17°, rel. 12

Cell and atoms:
```
SnBRuPt2
1.0
4.294 0.000 0.000
0.000 4.294 0.000
0.000 0.000 4.126
Sn B Ru Pt
1 1 1 2
direct
0.000 0.000 0.000
0.500 0.500 0.500
0.500 0.500 0.000
0.000 0.500 0.500
0.500 0.000 0.500
```